1.
Theoretical PXRD pattern of GdTmCd2 for λ = 1.5418 Å (Cu Kα), from a GGA-PBE-relaxed structure.
Peak positions follow from Bragg's law for the DFT cell and can differ from measured ones.

Crystal structure
```
GdTmCd2
1.0
5.367 0.000 0.000
0.000 11.890 0.000
0.000 0.000 6.547
Gd Tm Cd
4 4 8
Direct
0.250 0.163 0.000
0.250 0.663 0.500
0.750 0.337 0.500
0.750 0.837 0.000
0.250 0.421 0.207
0.250 0.921 0.707
0.750 0.079 0.707
0.750 0.579 0.207
0.250 0.173 0.494
0.250 0.417 0.725
0.250 0.673 0.994
0.250 0.917 0.225
0.750 0.083 0.225
0.750 0.327 0.994
0.750 0.583 0.725
0.750 0.827 0.494
```

Principal peaks in the range 10 to 90 degrees two-theta, low angle first:
Position (°2θ), intensity
30.06, 12
31.19, 29
33.39, 42
34.49, 60
35.49, 100
46.34, 17
54.10, 20
61.05, 20
65.09, 32
67.64, 13

---

2.
Theoretical PXRD pattern of ZnGeB4 for λ = 1.5418 Å (Cu Kα), from a GGA-PBE-relaxed structure.
Peak positions follow from Bragg's law for the DFT cell and can differ from measured ones.

Crystal structure
```
ZnGeB4
1.0
3.064 0.000 0.000
-1.532 2.654 0.000
0.000 0.000 7.213
Zn Ge B
1 1 4
Direct
0.000 0.000 0.000
0.000 0.000 0.500
0.333 0.667 0.235
0.333 0.667 0.765
0.667 0.333 0.235
0.667 0.333 0.765
```

Principal peaks in the range 10 to 90 degrees two-theta, low angle first:
Position (°2θ), intensity
24.69, 33
33.78, 61
42.28, 100
50.62, 11
60.42, 19
62.25, 21
66.28, 14
76.50, 16
82.64, 15
89.50, 11

---

3.
Theoretical PXRD pattern of TaP2NCl12 for λ = 1.5418 Å (Cu Kα), from a GGA-PBE-relaxed structure.
Peak positions follow from Bragg's law for the DFT cell and can differ from measured ones.

Crystal structure
```
TaP2NCl12
1.0
6.918 -4.442 0.000
6.918 4.442 0.000
-3.721 0.000 15.232
Ta P N Cl
2 4 2 24
Direct
0.000 0.000 0.000
0.000 0.000 0.500
0.319 0.460 0.729
0.460 0.319 0.229
0.540 0.681 0.771
0.681 0.540 0.271
0.376 0.624 0.750
0.624 0.376 0.250
0.047 0.088 0.153
0.088 0.047 0.653
0.093 0.516 0.647
0.103 0.215 0.973
0.215 0.103 0.473
0.222 0.701 0.492
0.235 0.502 0.176
0.271 0.401 0.836
0.299 0.778 0.008
0.401 0.271 0.336
0.484 0.907 0.853
0.498 0.765 0.324
0.502 0.235 0.676
0.516 0.093 0.147
0.599 0.729 0.664
0.701 0.222 0.992
0.729 0.599 0.164
0.765 0.498 0.824
0.778 0.299 0.508
0.785 0.897 0.527
0.897 0.785 0.027
0.907 0.484 0.353
0.912 0.953 0.347
0.953 0.912 0.847
```

Principal peaks in the range 10 to 90 degrees two-theta, low angle first:
Position (°2θ), intensity
11.94, 42
13.17, 29
15.55, 100
17.76, 61
19.58, 19
19.99, 21
22.22, 36
23.99, 28
26.33, 25
30.92, 27

---

4.
Theoretical PXRD pattern of KSiTeAuS2 for λ = 1.5418 Å (Cu Kα), from a GGA-PBE-relaxed structure.
Peak positions follow from Bragg's law for the DFT cell and can differ from measured ones.

Crystal structure
```
KSiTeAuS2
1.0
1.733 -8.414 0.000
1.733 8.414 0.000
0.000 0.000 10.578
K Si Te Au S
2 2 2 2 4
Direct
0.228 0.772 0.750
0.772 0.228 0.250
0.500 0.500 0.000
0.500 0.500 0.500
0.448 0.552 0.250
0.552 0.448 0.750
0.107 0.893 0.250
0.893 0.107 0.750
0.099 0.901 0.030
0.099 0.901 0.470
0.901 0.099 0.530
0.901 0.099 0.970
```

Principal peaks in the range 10 to 90 degrees two-theta, low angle first:
Position (°2θ), intensity
10.51, 71
13.45, 44
16.76, 73
27.60, 21
30.31, 24
31.50, 100
33.04, 38
33.90, 36
39.86, 39
53.30, 27

---

5.
Theoretical PXRD pattern of Be2Sn2Pd3 for λ = 1.5418 Å (Cu Kα), from a GGA-PBE-relaxed structure.
Peak positions follow from Bragg's law for the DFT cell and can differ from measured ones.

Crystal structure
```
Be2Sn2Pd3
1.0
2.162 1.248 6.979
-2.162 1.248 6.979
0.000 -2.496 6.979
Be Sn Pd
2 2 3
Direct
0.000 0.000 0.000
0.495 0.495 0.495
0.239 0.239 0.239
0.754 0.754 0.754
0.372 0.372 0.372
0.626 0.626 0.626
0.876 0.876 0.876
```

Principal peaks in the range 10 to 90 degrees two-theta, low angle first:
Position (°2θ), intensity
12.68, 17
25.26, 71
25.53, 22
38.52, 15
41.79, 100
42.13, 91
49.61, 23
60.84, 31
76.30, 17
76.53, 32

---

6.
Theoretical PXRD pattern of Cu3P2S8 for λ = 1.5418 Å (Cu Kα), from a GGA-PBE-relaxed structure.
Peak positions follow from Bragg's law for the DFT cell and can differ from measured ones.

Crystal structure
```
Cu3P2S8
1.0
7.267 0.000 0.000
-3.633 6.293 0.000
0.000 0.000 6.676
Cu P S
3 2 8
Direct
0.000 0.500 0.000
0.500 0.000 0.000
0.500 0.500 0.000
0.333 0.667 0.331
0.667 0.333 0.669
0.186 0.373 0.181
0.186 0.814 0.181
0.333 0.667 0.623
0.373 0.186 0.819
0.627 0.814 0.181
0.667 0.333 0.377
0.814 0.186 0.819
0.814 0.627 0.819
```

Principal peaks in the range 10 to 90 degrees two-theta, low angle first:
Position (°2θ), intensity
13.26, 94
14.07, 99
19.38, 37
27.96, 65
31.43, 100
39.35, 78
45.31, 21
50.22, 72
56.64, 23
63.05, 22

---

7.
Theoretical PXRD pattern of InFe2 for λ = 1.5418 Å (Cu Kα), from a GGA-PBE-relaxed structure.
Peak positions follow from Bragg's law for the DFT cell and can differ from measured ones.

Crystal structure
```
InFe2
1.0
0.000 3.527 3.527
3.527 0.000 3.527
3.527 3.527 0.000
In Fe
2 4
Direct
0.125 0.125 0.125
0.875 0.875 0.875
0.000 0.500 0.500
0.500 0.000 0.500
0.500 0.500 0.000
0.500 0.500 0.500
```

Principal peaks in the range 10 to 90 degrees two-theta, low angle first:
Position (°2θ), intensity
21.82, 5
36.01, 55
42.50, 100
44.49, 20
56.89, 1
64.74, 19
69.20, 29
76.36, 22
80.56, 1
87.44, 8